Entry 1:
The following is a computed powder XRD pattern of Li9Mg4Au11. It was derived from a DFT-relaxed cell (GGA-PBE, Alexandria), using Cu Kα (λ = 1.5418 Å).
Lines closer than 0.1° are merged.

Most intense lines, 10 to 90 degrees two-theta, in order of rising 2θ:
d_spacing	Rel. int.
3.784	100
3.387	100
3.284	59
3.001	98
2.358	42
2.351	55
2.246	79
2.233	69
2.215	58
1.791	59

Crystal structure
```
data_Li9Mg4Au11
_cell_length_a 11.9561
_cell_length_b 11.9561
_cell_length_c 3.0006
_cell_angle_alpha 90.00
_cell_angle_beta 90.00
_cell_angle_gamma 110.98
_space_group_name_H-M_alt 'P 1'
_space_group_IT_number 1
loop_
_space_group_symop_operation_xyz
'x,y,z'
loop_
_atom_site_label
_atom_site_type_symbol
_atom_site_fract_x
_atom_site_fract_y
_atom_site_fract_z
Li1 Li 0.0000 0.0000 0.0000
Li2 Li 0.1145 0.6587 0.0000
Li3 Li 0.3006 0.4875 0.0000
Li4 Li 0.3413 0.8855 0.0000
Li5 Li 0.4875 0.3006 0.0000
Li6 Li 0.5125 0.6994 0.0000
Li7 Li 0.6587 0.1145 0.0000
Li8 Li 0.6994 0.5125 0.0000
Li9 Li 0.8855 0.3413 0.0000
Mg1 Mg 0.0826 0.2581 0.0000
Mg2 Mg 0.2581 0.0826 0.0000
Mg3 Mg 0.7419 0.9174 0.0000
Mg4 Mg 0.9174 0.7419 0.0000
Au1 Au 0.0990 0.4572 0.5000
Au2 Au 0.1215 0.8785 0.5000
Au3 Au 0.2865 0.2865 0.5000
Au4 Au 0.3134 0.6866 0.5000
Au5 Au 0.4572 0.0990 0.5000
Au6 Au 0.5000 0.5000 0.5000
Au7 Au 0.5428 0.9010 0.5000
Au8 Au 0.6866 0.3134 0.5000
Au9 Au 0.7135 0.7135 0.5000
Au10 Au 0.8785 0.1215 0.5000
Au11 Au 0.9010 0.5428 0.5000
```

=====

Entry 2:
The following is a computed powder XRD pattern of ThZnGa2Co4. It was derived from a DFT-relaxed cell (GGA-PBE, Alexandria), using Cu Kα (λ = 1.5418 Å).
Lines closer than 0.1° are merged.

Most intense lines, 10 to 90 degrees two-theta, in order of rising 2θ:
d_spacing	Rel. int.
3.465	20
3.365	29
3.036	29
2.844	39
2.470	17
2.300	96
2.021	100
2.002	18
1.518	25
1.214	24

Crystal structure
```
data_ThZnGa2Co4
_cell_length_a 8.4614
_cell_length_b 8.4614
_cell_length_c 8.4614
_cell_angle_alpha 27.64
_cell_angle_beta 27.64
_cell_angle_gamma 27.64
_space_group_name_H-M_alt 'P 1'
_space_group_IT_number 1
loop_
_space_group_symop_operation_xyz
'x,y,z'
loop_
_atom_site_label
_atom_site_type_symbol
_atom_site_fract_x
_atom_site_fract_y
_atom_site_fract_z
Th1 Th 0.0000 0.0000 0.0000
Zn1 Zn 0.5000 0.5000 0.5000
Ga1 Ga 0.2356 0.2356 0.2356
Ga2 Ga 0.7644 0.7644 0.7644
Co1 Co 0.1291 0.1291 0.1291
Co2 Co 0.4017 0.4017 0.4017
Co3 Co 0.5983 0.5983 0.5983
Co4 Co 0.8709 0.8709 0.8709
```

=====

Entry 3:
The following is a computed powder XRD pattern of Pu4InRh4. It was derived from a DFT-relaxed cell (GGA-PBE, Alexandria), using Cu Kα (λ = 1.5418 Å).
Lines closer than 0.1° are merged.

Most intense lines, 10 to 90 degrees two-theta, in order of rising 2θ:
d_spacing	Rel. int.
5.674	10
4.272	26
2.924	8
2.523	35
2.363	100
1.891	22
1.529	9
1.513	22
1.424	21
1.164	12

Crystal structure
```
data_Pu4InRh4
_cell_length_a 6.2095
_cell_length_b 6.2095
_cell_length_c 6.2095
_cell_angle_alpha 99.50
_cell_angle_beta 99.50
_cell_angle_gamma 132.05
_space_group_name_H-M_alt 'P 1'
_space_group_IT_number 1
loop_
_space_group_symop_operation_xyz
'x,y,z'
loop_
_atom_site_label
_atom_site_type_symbol
_atom_site_fract_x
_atom_site_fract_y
_atom_site_fract_z
Pu1 Pu 0.1401 0.8390 0.9791
Pu2 Pu 0.1610 0.1401 0.3012
Pu3 Pu 0.8390 0.8599 0.6988
Pu4 Pu 0.8599 0.1610 0.0209
In1 In 0.5000 0.5000 0.0000
Rh1 Rh 0.1599 0.5324 0.6923
Rh2 Rh 0.4676 0.1599 0.6274
Rh3 Rh 0.5324 0.8401 0.3726
Rh4 Rh 0.8401 0.4676 0.3077
```